Starting from a crystal structure in OQMD, relaxed with GGA-PBE, the X-ray diffraction stick pattern of Sr2Li2Nb4O13 was computed for Cu Kα, 1.54184 Å.
Lines closer than 0.1° are merged.

The 10 most intense peaks (10° ≤ 2θ ≤ 80°), by angle:
(0 0 4), 2θ 10.44, d = 8.471 Å, I = 66
(0 0 8), 2θ 20.97, d = 4.236 Å, I = 25
(1 0 1), 2θ 22.54, d = 3.946 Å, I = 48
(1 0 5), 2θ 26.00, d = 3.427 Å, I = 74
(1 0 7), 2θ 29.08, d = 3.071 Å, I = 41
(1 1 0), 2θ 31.86, d = 2.809 Å, I = 75
(1 0 9), 2θ 32.77, d = 2.733 Å, I = 100
(2 0 0), 2θ 45.68, d = 1.986 Å, I = 65
(2 1 9), 2θ 57.35, d = 1.607 Å, I = 42
(2 0 16), 2θ 64.29, d = 1.449 Å, I = 23

Crystal structure
Cell lengths 3.9725, 3.9725, 33.8850 Å; angles 90.00, 90.00, 90.00 degrees
Space group I4/mmm (No. 139)
Symmetry-distinct sites (fractional):
Sr (0.0000, 0.0000, 0.1176)
Li (0.0000, 0.5000, 0.2500)
Nb (0.0000, 0.0000, 0.3199)
Nb (0.0000, 0.0000, 0.4433)
O (0.0000, 0.0000, 0.2642)
O (0.0000, 0.0000, 0.3821)
O (0.0000, 0.0000, 0.5000)
O (0.0000, 0.5000, 0.0631)
O (0.0000, 0.5000, 0.1742)